This entry pairs a crystal structure of VIr2O6 with its computed powder diffractogram. Radiation: Cu Kα X-rays. Structure: a GGA+U-relaxed structure.

Structure:
Cell lengths 8.6070, 8.6070, 4.4647 Å; angles 90.00, 90.00, 120.00 degrees
Space group P321 (No. 150)
Symmetry-distinct sites (fractional):
V 0.0000 0.0000 0.0000 (multiplicity 1)
V 0.3333 0.6667 0.5050 (multiplicity 2)
Ir 0.0000 0.3245 0.5000 (multiplicity 3)
Ir 0.0000 0.6571 0.0000 (multiplicity 3)
O 0.1061 0.8883 0.7605 (multiplicity 6)
O 0.1170 0.5501 0.7520 (multiplicity 6)
O 0.2167 0.7669 0.2640 (multiplicity 6)

The 10 most intense peaks (2θ = 5–70°), sorted by position:
20.6 deg, intensity 19
28.8 deg, intensity 100
36.2 deg, intensity 36
40.4 deg, intensity 7
45.8 deg, intensity 5
46.9 deg, intensity 26
55.3 deg, intensity 33
60.6 deg, intensity 24
65.0 deg, intensity 11
66.5 deg, intensity 10